# 1
Simulated XRD peak list of RbBa4Sr5 for a wavelength of 1.5418 Å, from the PBE geometry in Alexandria.

```
data_RbBa4Sr5
_chemical_formula_sum 'Rb1 Ba4 Sr5'
_symmetry_space_group_name_H-M 'P 1'
_symmetry_Int_Tables_number 1
_cell_length_a 4.8718
_cell_length_b 4.8718
_cell_length_c 25.6366
_cell_angle_alpha 90.00
_cell_angle_beta 90.00
_cell_angle_gamma 90.00
loop_
_symmetry_equiv_pos_as_xyz
'x,y,z'
loop_
_atom_site_label
_atom_site_type_symbol
_atom_site_fract_x
_atom_site_fract_y
_atom_site_fract_z
Rb1 Rb 0.0000 0.0000 0.0000
Ba1 Ba 0.0000 0.0000 0.2143
Ba2 Ba 0.0000 0.0000 0.4035
Ba3 Ba 0.0000 0.0000 0.5965
Ba4 Ba 0.0000 0.0000 0.7857
Sr1 Sr 0.5000 0.5000 0.1161
Sr2 Sr 0.5000 0.5000 0.3080
Sr3 Sr 0.5000 0.5000 0.5000
Sr4 Sr 0.5000 0.5000 0.6920
Sr5 Sr 0.5000 0.5000 0.8839
```

Principal peaks in the range 10° ≤ 2θ ≤ 80°, low angle first:
d (Å)	2θ (°)	I/Imax
3.532	25.2	100
3.445	25.9	52
2.436	36.9	20
2.057	44.0	16
2.005	45.2	41
1.766	51.8	10
1.541	60.1	10
1.307	72.3	10

# 2
Simulated XRD peak list of Ac6NiPd2 for a wavelength of 1.5418 Å, from the PBE geometry in Alexandria.

```
data_Ac6NiPd2
_chemical_formula_sum 'Ac12 Ni2 Pd4'
_symmetry_space_group_name_H-M 'P 1'
_symmetry_Int_Tables_number 1
_cell_length_a 7.1625
_cell_length_b 7.8790
_cell_length_c 12.8284
_cell_angle_alpha 90.00
_cell_angle_beta 120.29
_cell_angle_gamma 90.00
loop_
_symmetry_equiv_pos_as_xyz
'x,y,z'
loop_
_atom_site_label
_atom_site_type_symbol
_atom_site_fract_x
_atom_site_fract_y
_atom_site_fract_z
Ac1 Ac 0.0954 0.0444 0.2521
Ac2 Ac 0.0954 0.4556 0.7521
Ac3 Ac 0.2430 0.6782 0.0752
Ac4 Ac 0.2430 0.8218 0.5752
Ac5 Ac 0.3924 0.1825 0.0681
Ac6 Ac 0.3924 0.3175 0.5681
Ac7 Ac 0.6076 0.6825 0.4319
Ac8 Ac 0.6076 0.8175 0.9319
Ac9 Ac 0.7570 0.1782 0.4248
Ac10 Ac 0.7570 0.3218 0.9248
Ac11 Ac 0.9046 0.5444 0.2479
Ac12 Ac 0.9046 0.9556 0.7479
Ni1 Ni 0.0000 0.0000 0.0000
Ni2 Ni 0.0000 0.5000 0.5000
Pd1 Pd 0.3313 0.1163 0.7710
Pd2 Pd 0.3313 0.3837 0.2710
Pd3 Pd 0.6687 0.6163 0.7290
Pd4 Pd 0.6687 0.8837 0.2290
```

Principal peaks in the range 10° ≤ 2θ ≤ 80°, low angle first:
d (Å)	2θ (°)	I/Imax
3.367	26.5	41
3.323	26.8	32
3.259	27.4	60
3.204	27.8	100
3.172	28.1	42
2.967	30.1	64
1.899	47.9	25
1.738	52.7	26

# 3
Simulated XRD peak list of Ce2Ge3Pt2 for a wavelength of 1.5418 Å, from the PBE geometry in Alexandria.

```
data_Ce2Ge3Pt2
_chemical_formula_sum 'Ce4 Ge6 Pt4'
_symmetry_space_group_name_H-M 'P 1'
_symmetry_Int_Tables_number 1
_cell_length_a 9.5418
_cell_length_b 9.5418
_cell_length_c 7.0422
_cell_angle_alpha 90.00
_cell_angle_beta 90.00
_cell_angle_gamma 153.78
loop_
_symmetry_equiv_pos_as_xyz
'x,y,z'
loop_
_atom_site_label
_atom_site_type_symbol
_atom_site_fract_x
_atom_site_fract_y
_atom_site_fract_z
Ce1 Ce 0.0551 0.9449 0.7500
Ce2 Ce 0.1556 0.8444 0.2500
Ce3 Ce 0.8444 0.1556 0.7500
Ce4 Ce 0.9449 0.0551 0.2500
Ge1 Ge 0.2216 0.7784 0.7500
Ge2 Ge 0.4383 0.5617 0.5662
Ge3 Ge 0.4383 0.5617 0.9338
Ge4 Ge 0.5617 0.4383 0.0662
Ge5 Ge 0.5617 0.4383 0.4338
Ge6 Ge 0.7784 0.2216 0.2500
Pt1 Pt 0.3070 0.6930 0.0463
Pt2 Pt 0.3070 0.6930 0.4537
Pt3 Pt 0.6930 0.3070 0.5463
Pt4 Pt 0.6930 0.3070 0.9537
```

Principal peaks in the range 10° ≤ 2θ ≤ 80°, low angle first:
d (Å)	2θ (°)	I/Imax
2.702	33.2	100
2.618	34.3	81
2.499	35.9	52
2.323	38.8	37
2.201	41.0	35
2.164	41.7	57
2.095	43.2	50
1.505	61.6	35